# CeSe2
Calculated PXRD pattern, Cu Kα (λ = 1.5418 Å). Input: a cell relaxed with PBE.
Lines closer than 0.1° are merged.

Structural model:
Lattice parameters (Å, degrees): 12.502 19.350 19.565 105.29 94.87 95.99
Atoms (fractional coordinates):
Ce1 0.045 0.239 0.068
Ce2 0.075 0.540 0.742
Ce3 0.220 0.413 0.929
Ce4 0.304 0.559 0.376
Ce5 0.329 0.866 0.058
Ce6 0.389 0.640 0.143
Ce7 0.410 0.142 0.142
Ce8 0.430 0.638 0.643
Ce9 0.570 0.362 0.357
Ce10 0.590 0.858 0.858
Ce11 0.611 0.360 0.857
Ce12 0.671 0.134 0.942
Ce13 0.696 0.441 0.624
Ce14 0.780 0.587 0.071
Ce15 0.925 0.460 0.258
Ce16 0.955 0.761 0.932
Se1 0.019 0.666 0.821
Se2 0.086 0.522 0.364
Se3 0.100 0.450 0.825
Se4 0.108 0.307 0.971
Se5 0.127 0.862 0.994
Se6 0.210 0.177 0.115
Se7 0.262 0.570 0.689
Se8 0.271 0.530 0.042
Se9 0.330 0.768 0.135
Se10 0.356 0.625 0.274
Se11 0.375 0.646 0.508
Se12 0.395 0.002 0.143
Se13 0.400 0.438 0.358
Se14 0.401 0.366 0.877
Se15 0.467 0.835 0.959
Se16 0.493 0.772 0.731
Se17 0.507 0.228 0.269
Se18 0.533 0.165 0.041
Se19 0.599 0.634 0.123
Se20 0.600 0.562 0.642
Se21 0.605 0.998 0.857
Se22 0.625 0.354 0.492
Se23 0.644 0.375 0.726
Se24 0.670 0.232 0.865
Se25 0.729 0.470 0.958
Se26 0.738 0.430 0.311
Se27 0.790 0.823 0.885
Se28 0.873 0.138 0.006
Se29 0.892 0.693 0.029
Se30 0.900 0.550 0.175
Se31 0.914 0.478 0.636
Se32 0.981 0.334 0.179

Most intense lines, 10 to 90 degrees two-theta, sorted by position:
11.2 deg, rel. 39, hkl 1 1 1
11.4 deg, rel. 100, hkl 1 1 -2
11.7 deg, rel. 41, hkl 0 2 1
13.6 deg, rel. 30, hkl 1 2 -2
14.5 deg, rel. 32, hkl 2 -1 0
14.7 deg, rel. 32, hkl 1 1 2
15.2 deg, rel. 51, hkl 0 2 2
16.2 deg, rel. 47, hkl 2 -2 0